Entry 1:
The following is a calculated powder diffraction line list of Ho2SnRh3. It was derived from DFT lattice parameters and positions (PBE), using Cu Kα (λ = 1.5418 Å).
Intensities are scaled so that the largest is 100.

Structural model:
```
12
Lattice="4.746 0.000 0.000 -2.373 4.110 0.000 0.000 0.000 11.546" Properties=species:S:1:pos:R:3 pbc="T T T"
Ho 0.000 0.000 0.000
Ho 0.000 0.000 5.773
Ho 0.000 2.740 2.035
Ho 2.373 1.370 9.510
Sn 0.000 2.740 7.678
Sn 2.373 1.370 3.867
Rh 0.000 0.000 2.921
Rh 0.000 0.000 8.625
Rh 0.000 2.740 4.862
Rh 0.000 2.740 10.538
Rh 2.373 1.370 1.007
Rh 2.373 1.370 6.683
```

Principal peaks in the range 2θ = 15–90°, low angle first:
- 3.348 Å, intensity 7
- 2.373 Å, intensity 100
- 2.362 Å, intensity 97
- 1.936 Å, intensity 2
- 1.674 Å, intensity 34
- 1.500 Å, intensity 2
- 1.495 Å, intensity 1
- 1.370 Å, intensity 18
- 1.368 Å, intensity 34
- 1.362 Å, intensity 16
- 1.186 Å, intensity 11
- 1.181 Å, intensity 10

=====

Entry 2:
The following is a calculated powder diffraction line list of Sm3Tm5S8. It was derived from DFT lattice parameters and positions (PBE), using Cu Kα (λ = 1.5418 Å).
Intensities are scaled so that the largest is 100.

Structural model:
```
16
Lattice="3.891 2.246 6.433 -3.891 2.246 6.433 0.000 -4.493 6.433" Properties=species:S:1:pos:R:3 pbc="T T T"
Sm -1.946 -1.123 6.433
Sm -1.946 1.123 12.865
Sm 0.000 2.246 6.433
Tm 0.000 0.000 0.000
Tm -3.891 0.000 9.649
Tm -1.946 1.123 3.216
Tm 1.946 1.123 3.216
Tm 0.000 0.000 9.649
S -1.987 -1.147 11.185
S 0.000 0.000 4.716
S 0.000 -2.295 8.113
S -1.987 1.147 8.113
S 1.987 -1.147 11.185
S 0.000 2.295 11.185
S 0.000 0.000 14.582
S 1.987 1.147 8.113
```

Principal peaks in the range 2θ = 15–90°, low angle first:
- 3.216 Å, intensity 21
- 3.181 Å, intensity 62
- 2.763 Å, intensity 100
- 1.961 Å, intensity 36
- 1.946 Å, intensity 36
- 1.675 Å, intensity 10
- 1.665 Å, intensity 20
- 1.591 Å, intensity 19
- 1.381 Å, intensity 11
- 1.240 Å, intensity 16
- 1.231 Å, intensity 16
- 1.126 Å, intensity 12

=====

Entry 3:
The following is a calculated powder diffraction line list of Cr2N. It was derived from DFT lattice parameters and positions (PBE), using Cu Kα (λ = 1.5418 Å).
Intensities are scaled so that the largest is 100.

Structural model:
```
9
Lattice="4.783 0.000 0.000 -2.392 4.143 0.000 0.000 0.000 4.410" Properties=species:S:1:pos:R:3 pbc="T T T"
Cr -0.780 1.350 1.117
Cr -1.612 2.792 3.293
Cr 1.559 0.000 1.117
Cr 0.780 1.350 3.293
Cr 3.224 0.000 3.293
Cr 1.612 2.792 1.117
N 0.000 0.000 0.000
N 0.000 2.762 2.205
N 2.392 1.381 2.205
```

Principal peaks in the range 2θ = 15–90°, low angle first:
- 4.410 Å, intensity 1
- 3.019 Å, intensity 3
- 2.392 Å, intensity 14
- 2.205 Å, intensity 20
- 2.102 Å, intensity 100
- 1.621 Å, intensity 20
- 1.381 Å, intensity 18
- 1.252 Å, intensity 15
- 1.196 Å, intensity 1
- 1.170 Å, intensity 13
- 1.154 Å, intensity 11
- 1.103 Å, intensity 3

=====

Entry 4:
The following is a calculated powder diffraction line list of Rb5AgClO2. It was derived from DFT lattice parameters and positions (PBE), using Cu Kα (λ = 1.5418 Å).
Intensities are scaled so that the largest is 100.

Structural model:
```
9
Lattice="5.724 0.000 0.000 0.000 5.724 0.000 0.000 0.000 9.612" Properties=species:S:1:pos:R:3 pbc="T T T"
Rb 0.000 0.000 0.000
Rb 0.000 2.862 2.692
Rb 0.000 2.862 6.921
Rb 2.862 0.000 2.692
Rb 2.862 0.000 6.921
Ag 0.000 0.000 4.806
Cl 2.862 2.862 0.000
O 0.000 0.000 2.718
O 0.000 0.000 6.894
```

Principal peaks in the range 2θ = 15–90°, low angle first:
- 5.724 Å, intensity 31
- 3.681 Å, intensity 9
- 3.096 Å, intensity 100
- 2.862 Å, intensity 55
- 2.403 Å, intensity 11
- 2.024 Å, intensity 20
- 1.840 Å, intensity 20
- 1.694 Å, intensity 33
- 1.548 Å, intensity 11
- 1.299 Å, intensity 9
- 1.280 Å, intensity 8
- 1.093 Å, intensity 11

=====

Entry 5:
The following is a calculated powder diffraction line list of KPr9Si6O26. It was derived from DFT lattice parameters and positions (PBE), using Cu Kα (λ = 1.5418 Å).
Intensities are scaled so that the largest is 100.

Structural model:
```
42
Lattice="9.717 0.000 0.000 -4.859 8.416 0.000 0.000 0.000 7.215" Properties=species:S:1:pos:R:3 pbc="T T T"
K 0.000 0.000 0.000
Pr 0.000 0.000 3.606
Pr -2.304 5.534 1.820
Pr -1.071 3.540 5.454
Pr -1.258 7.574 5.454
Pr 1.218 3.654 1.820
Pr 1.085 7.644 1.820
Pr 2.329 5.718 5.454
Pr 4.859 2.805 0.024
Pr 4.859 2.805 3.636
Si 2.794 0.314 1.849
Si 2.094 2.526 5.389
Si 6.483 0.551 5.389
Si 3.734 5.839 1.849
Si 5.999 5.339 5.389
Si 8.049 2.262 1.849
O -3.804 6.950 5.267
O -0.798 2.790 3.151
O -0.828 2.840 0.555
O 0.742 1.646 5.267
O 1.430 1.204 1.966
O -2.043 7.712 3.151
O -1.985 7.712 0.555
O 0.000 5.610 1.873
O 0.000 5.610 5.420
O 2.103 3.492 6.732
O 2.262 3.532 4.085
O 3.507 1.664 5.462
O 4.126 1.300 1.812
O 5.528 0.193 4.085
O 5.642 0.076 6.732
O 3.922 4.192 1.812
O 2.813 6.278 0.555
O 2.842 6.329 3.151
O 4.546 4.547 5.462
O 6.523 2.205 5.462
O 3.062 8.235 5.267
O 6.529 2.923 1.812
O 7.960 0.636 1.966
O 5.186 6.576 1.966
O 6.786 4.691 4.085
O 6.831 4.848 6.732
```

Principal peaks in the range 2θ = 15–90°, low angle first:
- 4.208 Å, intensity 29
- 4.030 Å, intensity 28
- 3.316 Å, intensity 38
- 3.181 Å, intensity 34
- 2.911 Å, intensity 100
- 2.896 Å, intensity 52
- 2.805 Å, intensity 29
- 2.015 Å, intensity 28
- 1.918 Å, intensity 35
- 1.865 Å, intensity 19
- 1.836 Å, intensity 22
- 1.817 Å, intensity 29

=====

Entry 6:
The following is a calculated powder diffraction line list of CaReH4ClO6. It was derived from DFT lattice parameters and positions (PBE), using Cu Kα (λ = 1.5418 Å).
Intensities are scaled so that the largest is 100.

Structural model:
```
26
Lattice="3.556 -7.305 0.000 3.556 7.305 0.000 0.000 0.000 6.725" Properties=species:S:1:pos:R:3 pbc="T T T"
Ca 3.556 5.966 5.044
Ca 3.556 -5.966 1.681
Re 3.556 3.532 1.681
Re 3.556 -3.532 5.044
H 2.071 0.617 3.832
H 2.071 0.617 6.256
H 2.071 -0.617 0.469
H 2.071 -0.617 2.893
H 5.040 0.617 3.832
H 5.040 0.617 6.256
H 5.040 -0.617 0.469
H 5.040 -0.617 2.893
Cl 3.556 1.568 5.044
Cl 3.556 -1.568 1.681
O 2.136 2.512 1.681
O 3.556 4.574 0.274
O 3.556 4.574 3.088
O 1.443 0.000 0.000
O 1.443 0.000 3.363
O 2.136 -2.512 5.044
O 4.976 2.512 1.681
O 5.669 0.000 0.000
O 5.669 0.000 3.363
O 3.556 -4.574 3.637
O 3.556 -4.574 6.451
O 4.976 -2.512 5.044
```

Principal peaks in the range 2θ = 15–90°, low angle first:
- 4.634 Å, intensity 69
- 3.556 Å, intensity 22
- 3.449 Å, intensity 100
- 3.363 Å, intensity 18
- 3.197 Å, intensity 24
- 3.055 Å, intensity 20
- 2.508 Å, intensity 16
- 2.443 Å, intensity 16
- 2.032 Å, intensity 30
- 1.958 Å, intensity 18
- 1.777 Å, intensity 13
- 1.725 Å, intensity 22